This entry pairs a crystal structure of Ba2FeTcO6 with its theoretical powder diffraction line list. Radiation: Cu Kα X-rays. Structure: a structure optimized by DFT (PBE+U).
Peak positions follow from Bragg's law for the DFT cell and can differ from measured ones.

Top 6 peaks for 10° ≤ 2θ ≤ 90°, most intense first:
| 2θ/deg | I/Imax |
| --- | --- |
| 31.1 | 100 |
| 55.4 | 39 |
| 44.6 | 32 |
| 64.9 | 19 |
| 73.7 | 17 |
| 38.4 | 10 |

```
Ba2FeTcO6
1.0
0.0000 4.0645 4.0645
4.0645 0.0000 4.0645
4.0645 4.0645 0.0000
Ba Fe Tc O
2 1 1 6
Direct
0.2500 0.2500 0.2500
0.7500 0.7500 0.7500
0.0000 0.0000 0.0000
0.5000 0.5000 0.5000
0.2551 0.2551 0.7449
0.2551 0.7449 0.2551
0.2551 0.7449 0.7449
0.7449 0.2551 0.2551
0.7449 0.2551 0.7449
0.7449 0.7449 0.2551
```